KMg7Cd5: calculated powder diffractogram (Cu Kα, 1.54184 Å), based on a DFT-relaxed cell (PBE, Alexandria).

Cell lengths 5.962, 10.309, 10.263 Å; angles 90.00, 90.00, 90.00 degrees
Space group Imm2 (No. 44)
Inequivalent atoms, fractional coordinates:
K 0.000 0.000 0.000 (multiplicity 2)
Mg 0.000 0.000 0.350 (multiplicity 2)
Mg 0.000 0.000 0.643 (multiplicity 2)
Mg 0.000 0.280 0.501 (multiplicity 4)
Mg 0.000 0.353 0.996 (multiplicity 4)
Mg 0.000 0.500 0.273 (multiplicity 2)
Cd 0.000 0.500 0.719 (multiplicity 2)
Cd 0.249 0.253 0.250 (multiplicity 8)

Principal peaks in the range 10° ≤ 2θ ≤ 90°, sorted by position:
index  2theta  Rel. int.
0 2 0  17.2  34
0 0 2  17.3  62
0 2 2  24.5  35
0 4 0  34.8  100
0 0 4  34.9  32
2 2 2  39.1  87
0 2 4  39.2  18
2 4 2  50.0  11
0 4 4  50.2  29
4 0 0  62.3  15
2 2 6  65.5  11
4 4 2  76.1  10